Computed powder XRD pattern
Compound: Rb8Br4Cl3
Radiation: copper Kα
Structure: a DFT-relaxed cell (PBE, Alexandria)
Peak positions follow from Bragg's law for the DFT cell and can differ from measured ones.

The 10 most intense peaks (15 to 90 degrees two-theta), sorted by position:
| two_theta | I/Imax |
| --- | --- |
| 22.30 | 9 |
| 25.80 | 100 |
| 36.81 | 76 |
| 45.50 | 27 |
| 53.04 | 13 |
| 59.90 | 35 |
| 66.31 | 26 |
| 78.32 | 8 |
| 84.11 | 17 |
| 89.83 | 12 |

Structure:
a = 13.809 Å, b = 13.814 Å, c = 9.761 Å
α = 90.00°, β = 134.97°, γ = 90.00°
Space group C2/m (No. 12)
Unique sites:
Rb (0.000, 0.246, 0.000) (multiplicity 4)
Rb (0.000, 0.250, 0.500) (multiplicity 4)
Rb (0.246, 0.000, 0.000) (multiplicity 4)
Rb (0.247, 0.000, 0.492) (multiplicity 4)
Br (0.000, 0.000, 0.500) (multiplicity 2)
Br (0.000, 0.500, 0.000) (multiplicity 2)
Br (0.250, 0.250, 0.000) (multiplicity 4)
Cl (0.000, 0.000, 0.000) (multiplicity 2)
Cl (0.250, 0.250, 0.500) (multiplicity 4)



Computed powder XRD pattern
Compound: PbI
Radiation: copper Kα
Structure: a DFT-relaxed cell (PBE, Alexandria)
Peak positions follow from Bragg's law for the DFT cell and can differ from measured ones.

The 10 most intense peaks (15 to 90 degrees two-theta), sorted by position:
| two_theta | I/Imax |
| --- | --- |
| 23.79 | 70 |
| 27.52 | 55 |
| 30.84 | 100 |
| 33.88 | 47 |
| 36.68 | 60 |
| 41.81 | 29 |
| 44.18 | 42 |
| 56.83 | 43 |
| 60.59 | 26 |
| 66.05 | 20 |

Structure:
a = 12.968 Å, b = 12.968 Å, c = 3.906 Å
α = 90.00°, β = 90.00°, γ = 90.00°
Space group I4/m (No. 87)
Unique sites:
Pb (0.084, 0.184, 0.000) (multiplicity 8)
I (0.120, 0.676, 0.000) (multiplicity 8)



Computed powder XRD pattern
Compound: AgTe
Radiation: copper Kα
Structure: a DFT-relaxed cell (PBE, Alexandria)
Peak positions follow from Bragg's law for the DFT cell and can differ from measured ones.

The 10 most intense peaks (15 to 90 degrees two-theta), sorted by position:
| two_theta | I/Imax |
| --- | --- |
| 30.45 | 100 |
| 41.34 | 50 |
| 41.51 | 11 |
| 45.78 | 20 |
| 52.21 | 21 |
| 59.88 | 9 |
| 68.68 | 18 |
| 75.38 | 12 |
| 78.53 | 8 |
| 89.82 | 11 |

Structure:
a = 4.3676 Å, b = 4.3676 Å, c = 18.6144 Å
α = 90.00°, β = 90.00°, γ = 120.00°
Space group R-3m (No. 166, hexagonal axes)
Unique sites:
Ag (0.0000, 0.0000, 0.1300) (multiplicity 6)
Te (0.0000, 0.0000, 0.3955) (multiplicity 6)